This entry pairs a crystal structure of Al5Fe3O12 with its simulated powder X-ray diffraction pattern. Radiation: copper Kα. Structure: a crystal structure in Alexandria, relaxed with GGA+U.
Kinematic intensities with the Lorentz-polarization factor, no thermal factor.

Largest 6 diffraction maxima, low angle first, 10 to 90 degrees two-theta:
- 31.0°, I 100
- 36.4°, I 89
- 36.5°, I 83
- 58.8°, I 32
- 64.5°, I 45
- 64.6°, I 28

Structural model:
Cell lengths 5.7838, 5.7838, 14.1059 Å; angles 90.19, 90.19, 59.92 degrees
Positions (direct):
Al 0.0000 0.5000 0.0000
Al 0.1646 0.1646 0.6644
Al 0.1645 0.6715 0.6641
Al 0.3285 0.8355 0.3359
Al 0.3399 0.3399 0.8384
Al 0.5000 0.0000 0.0000
Al 0.6601 0.6601 0.1616
Al 0.6715 0.1645 0.6641
Al 0.8355 0.3285 0.3359
Al 0.8354 0.8354 0.3356
Fe 0.0052 0.0052 0.1208
Fe 0.3294 0.3294 0.2064
Fe 0.3340 0.3340 0.4532
Fe 0.6660 0.6660 0.5468
Fe 0.6706 0.6706 0.7936
Fe 0.9948 0.9948 0.8792
O 0.9998 0.9998 0.2598
O 0.0002 0.0002 0.7402
O 0.0403 0.4788 0.7470
O 0.1558 0.6376 0.9150
O 0.1619 0.1619 0.3998
O 0.1618 0.6775 0.3998
O 0.1810 0.1810 0.9211
O 0.3220 0.3220 0.0755
O 0.3225 0.8382 0.6002
O 0.3340 0.3340 0.5946
O 0.3624 0.8442 0.0850
O 0.4788 0.0403 0.7470
O 0.4830 0.4830 0.7490
O 0.5170 0.5170 0.2510
O 0.5212 0.9597 0.2530
O 0.6376 0.1558 0.9150
O 0.6660 0.6660 0.4054
O 0.6775 0.1618 0.3998
O 0.6780 0.6780 0.9245
O 0.8190 0.8190 0.0789
O 0.8382 0.3225 0.6002
O 0.8381 0.8381 0.6002
O 0.8442 0.3624 0.0850
O 0.9597 0.5212 0.2530